1.
Theoretical powder X-ray diffraction pattern
Compound: P4S3I2
Radiation: CuKα
Structure: a PBE-relaxed structure

Peak list (10 most intense, 2θ from 10° to 80°, sorted by position)
2theta, I_rel
16.0, 30.6
16.2, 38.4
16.3, 55.4
16.5, 52.9
16.9, 50.4
20.0, 35.2
25.5, 34.4
25.7, 63.1
27.1, 55.1
27.4, 100.0

Structure:
Cell: 7.764 7.813 21.771 Å, 85.38 87.94 89.29°
Space group P-1 (No. 2)
Symmetry-distinct sites (fractional):
1 P 0.002 0.113 0.381
2 P 0.054 0.544 0.396
3 P 0.080 0.027 0.883
4 P 0.112 0.222 0.950
5 P 0.177 0.519 0.655
6 P 0.215 0.872 0.550
7 P 0.444 0.206 0.842
8 P 0.481 0.042 0.108
9 S 0.096 0.742 0.696
10 S 0.152 0.296 0.423
11 S 0.210 0.144 0.804
12 S 0.273 0.858 0.922
13 S 0.312 0.620 0.572
14 S 0.362 0.316 0.925
15 I 0.092 0.560 0.098
16 I 0.244 0.646 0.305
17 I 0.398 0.206 0.198
18 I 0.417 0.065 0.599



2.
Theoretical powder X-ray diffraction pattern
Compound: P4Se3I2
Radiation: CuKα
Structure: a PBE-relaxed structure

Peak list (10 most intense, 2θ from 10° to 80°, sorted by position)
2theta, I_rel
15.8, 51.6
17.7, 59.1
23.3, 77.8
23.5, 100.0
24.6, 44.6
29.4, 83.3
30.0, 76.0
30.5, 61.4
34.1, 37.7
45.7, 70.1

Structure:
Cell: 10.516 16.714 7.239 Å, 90.00 90.00 90.00°
Space group Pnma (No. 62)
Symmetry-distinct sites (fractional):
1 P 0.026 0.149 0.050
2 P 0.132 0.250 0.181
3 P 0.245 0.250 0.746
4 Se 0.109 0.143 0.757
5 Se 0.176 0.750 0.536
6 I 0.144 0.042 0.218